Entry 1:
The following is a simulated X-ray powder pattern of SrPrDyCoO6. It was derived from DFT lattice parameters and positions (PBE+U), using Cu Kα.
Kinematic intensities with the Lorentz-polarization factor, no thermal factor.

Structure:
a b c (Å): 8.046 8.046 8.046
angles (deg): 90.00 90.00 90.00
Space group F-43m (No. 216)
One atom of each set of equivalent atoms:
Sr 0.000 0.000 0.000
Pr 0.000 0.000 0.500
Dy 0.250 0.250 0.750
Co 0.250 0.250 0.250
O 0.019 0.250 0.250

The 8 most intense peaks (10° ≤ 2θ ≤ 90°), most intense first:
Position (°2θ)	Rel. int.
31.45	100
55.99	39
45.07	30
65.64	18
74.59	17
19.10	13
37.06	10
83.18	6



Entry 2:
The following is a simulated X-ray powder pattern of SrDy2CoO5. It was derived from DFT lattice parameters and positions (PBE+U), using Cu Kα.
Kinematic intensities with the Lorentz-polarization factor, no thermal factor.

Structure:
a b c (Å): 3.739 5.738 11.482
angles (deg): 90.00 90.00 90.00
Space group Immm (No. 71)
One atom of each set of equivalent atoms:
Sr 0.000 0.000 0.000
Dy 0.000 0.500 0.203
Co 0.000 0.000 0.500
O 0.000 0.247 0.352
O 0.000 0.500 0.000

The 8 most intense peaks (10° ≤ 2θ ≤ 90°), most intense first:
Position (°2θ)	Rel. int.
32.56	100
31.17	40
46.41	32
28.02	31
56.36	22
56.96	16
28.49	15
48.71	15



Entry 3:
The following is a simulated X-ray powder pattern of Sr2DyCo2O6. It was derived from DFT lattice parameters and positions (PBE+U), using Cu Kα.
Kinematic intensities with the Lorentz-polarization factor, no thermal factor.

Structure:
a b c (Å): 5.9757 5.9757 17.0836
angles (deg): 90.00 90.00 120.00
Space group R-3m (No. 166, hexagonal axes)
One atom of each set of equivalent atoms:
Sr 0.0000 0.0000 0.2049
Dy 0.0000 0.0000 0.0000
Co 0.0000 0.0000 0.4367
O 0.0140 0.5070 0.7561

The 8 most intense peaks (10° ≤ 2θ ≤ 90°), most intense first:
Position (°2θ)	Rel. int.
29.90	100
31.37	67
43.90	36
54.02	31
27.07	27
20.06	27
40.77	25
57.52	22



Entry 4:
The following is a simulated X-ray powder pattern of Dy2VCoO6. It was derived from DFT lattice parameters and positions (PBE+U), using Cu Kα.
Kinematic intensities with the Lorentz-polarization factor, no thermal factor.

Structure:
a b c (Å): 5.228 5.630 9.138
angles (deg): 90.00 124.69 90.00
Space group P2_1/c (No. 14)
One atom of each set of equivalent atoms:
Dy 0.228 0.071 0.250
V 0.500 0.000 0.000
Co 0.000 0.000 0.500
O 0.134 0.201 0.946
O 0.250 0.690 0.947
O 0.354 0.037 0.747

The 8 most intense peaks (10° ≤ 2θ ≤ 90°), most intense first:
Position (°2θ)	Rel. int.
33.41	100
26.11	25
34.31	25
53.28	22
23.22	21
60.80	19
31.79	18
34.01	17